Entry 1:
Calculated X-ray powder pattern
Compound: PrU2RuC4
Radiation: Cu Ka
Structure: a cell relaxed with PBE
Lines closer than 0.1° are merged.

Largest 10 diffraction maxima, low angle first, 2θ from 15° to 90°:
2θ/deg  I/Imax
27.34  59
30.17  100
30.30  25
30.62  54
34.73  24
34.87  22
37.36  71
41.25  27
46.74  22
52.01  24

abc: 6.108 6.108 11.801
angles: 90.00 90.00 145.90
Positions (direct):
Pr  0.103  0.897  0.750
Pr  0.897  0.103  0.250
U  0.370  0.630  0.548
U  0.370  0.630  0.952
U  0.630  0.370  0.048
U  0.630  0.370  0.452
Ru  0.160  0.840  0.250
Ru  0.840  0.160  0.750
C  0.000  0.000  0.000
C  0.000  0.000  0.500
C  0.255  0.745  0.110
C  0.255  0.745  0.390
C  0.432  0.568  0.750
C  0.568  0.432  0.250
C  0.745  0.255  0.610
C  0.745  0.255  0.890

---

Entry 2:
Calculated X-ray powder pattern
Compound: Pr4CS2
Radiation: Cu Ka
Structure: a cell relaxed with PBE
Lines closer than 0.1° are merged.

Largest 10 diffraction maxima, low angle first, 2θ from 15° to 90°:
2θ/deg  I/Imax
26.58  81
27.46  84
31.27  100
31.38  49
43.66  15
44.88  65
45.92  19
52.35  18
53.85  24
56.67  18

abc: 7.050 7.050 3.953
angles: 90.00 90.00 107.95
Positions (direct):
Pr  0.214  0.214  0.500
Pr  0.231  0.769  0.000
Pr  0.769  0.231  0.000
Pr  0.786  0.786  0.500
C  0.000  0.000  0.000
S  0.000  0.500  0.500
S  0.500  0.000  0.500

---

Entry 3:
Calculated X-ray powder pattern
Compound: Pr7CS5
Radiation: Cu Ka
Structure: a cell relaxed with PBE
Lines closer than 0.1° are merged.

Largest 10 diffraction maxima, low angle first, 2θ from 15° to 90°:
2θ/deg  I/Imax
25.94  45
26.60  47
27.71  56
28.75  100
30.32  30
30.99  76
32.10  100
44.07  34
46.02  36
55.17  32

abc: 7.048 7.048 24.463
angles: 90.00 90.00 147.50
Positions (direct):
Pr  0.055  0.945  0.500
Pr  0.130  0.870  0.211
Pr  0.148  0.852  0.787
Pr  0.298  0.702  0.428
Pr  0.298  0.702  0.566
Pr  0.404  0.596  0.130
Pr  0.430  0.570  0.852
Pr  0.570  0.430  0.352
Pr  0.596  0.404  0.630
Pr  0.702  0.298  0.066
Pr  0.702  0.298  0.928
Pr  0.852  0.148  0.287
Pr  0.870  0.130  0.711
Pr  0.945  0.055  0.000
C  0.326  0.674  0.033
C  0.674  0.326  0.533
S  0.050  0.950  0.102
S  0.062  0.938  0.896
S  0.213  0.787  0.321
S  0.230  0.770  0.676
S  0.488  0.512  0.245
S  0.512  0.488  0.745
S  0.770  0.230  0.176
S  0.787  0.213  0.821
S  0.938  0.062  0.396
S  0.950  0.050  0.602